Structure and calculated X-ray diffraction stick pattern of LiTiP4O12 (a GGA-PBE-relaxed structure; Cu Ka).
No peak broadening, texture or thermal motion is included.

Cell and atoms:
```
36
Lattice="8.603 -6.047 0.000 8.603 6.047 0.000 -1.013 0.000 5.172" Properties=species:S:1:pos:R:3 pbc="T T T"
Li 0.989 0.000 0.701
Li 15.203 0.000 4.471
Ti 3.795 3.023 2.586
Ti 3.795 -3.023 2.586
P 6.973 3.518 1.693
P 5.401 1.461 0.194
P 9.219 3.518 3.479
P 5.401 -1.461 0.194
P 10.791 1.461 4.978
P 6.973 -3.518 1.693
P 10.791 -1.461 4.978
P 9.219 -3.518 3.479
O 5.758 3.712 2.578
O 7.557 4.674 0.963
O 4.166 1.783 0.992
O 8.635 4.674 4.209
O 4.246 1.530 3.866
O 6.665 2.315 0.639
O 8.096 2.755 2.586
O 10.434 3.712 2.594
O 5.923 0.000 0.594
O 4.166 -1.783 0.992
O 9.527 2.315 4.533
O 4.246 -1.530 3.866
O 11.945 1.530 1.306
O 6.665 -2.315 0.639
O 12.026 1.783 4.180
O 10.269 0.000 4.578
O 5.758 -3.712 2.578
O 8.096 -2.755 2.586
O 9.527 -2.315 4.533
O 11.945 -1.530 1.306
O 7.557 -4.674 0.963
O 12.026 -1.783 4.180
O 8.635 -4.674 4.209
O 10.434 -3.712 2.594
```

Most intense lines, 15 to 90 degrees two-theta, sorted by position:
2theta, I/Imax
17.38, 100
18.31, 68
22.24, 19
22.63, 88
24.52, 50
26.37, 19
26.59, 40
27.42, 20
28.68, 29
33.98, 29
34.36, 41
35.18, 22